Starting from a cell relaxed with PBE+U, the XRD peak list of LiCoPO4 was calculated for Cu Kα (weighted mean of Kα1 and Kα2).
Peak positions follow from Bragg's law for the DFT cell and can differ from measured ones.

Main lines, low angle first (2θ = 10–90°):
2θ/deg, I/Imax, (hkl)
19.86, 29, 1 0 0
20.39, 100, 1 1 0
21.17, 16, 1 1 1
23.61, 95, 0 0 2
27.64, 14, 1 1 2
29.97, 22, 1 0 -2
34.40, 37, 1 2 1
35.08, 69, 1 -1 0
42.97, 18, 1 2 3
44.63, 15, 2 1 -2
46.88, 15, 1 -1 2
62.32, 12, 3 0 0

Atomic structure:
```
LiCoPO4
1.0
5.136 0.000 0.000
2.552 4.552 0.000
0.693 2.273 7.536
Li Co P O
2 2 2 8
Cartesian
0.000 0.000 0.000
2.341 4.855 5.853
2.328 1.858 4.500
5.148 3.000 1.350
2.520 1.476 1.098
4.959 3.382 4.752
1.784 2.669 0.359
2.322 1.655 2.592
4.428 4.699 0.595
3.448 3.381 5.126
4.030 1.478 0.718
5.601 4.711 5.256
5.164 3.202 3.259
5.693 2.189 5.493
```